For B4Os, a crystal structure in the Materials Project, relaxed with GGA-PBE gives the computed X-ray diffraction stick pattern in this record (Cu Kα, 1.54184 Å).
Kinematic intensities with the Lorentz-polarization factor, no thermal factor.

Peak list (10 most intense, 2θ = 15–90°, by angle)
two_theta	I (rel.)
19.18	18
23.66	74
27.66	37
33.55	90
41.47	18
44.01	100
59.98	24
67.29	21
67.89	21
77.33	19

Cell and atoms:
```
data_B4Os
_cell_length_a 5.3424
_cell_length_b 5.3424
_cell_length_c 6.4511
_cell_angle_alpha 90.00
_cell_angle_beta 90.00
_cell_angle_gamma 120.00
_space_group_name_H-M_alt 'P 63/m m c'
_space_group_IT_number 194
_space_group_name_Hall '-P 6c 2c'
loop_
_atom_site_label
_atom_site_fract_x
_atom_site_fract_y
_atom_site_fract_z
B1 0.0000 0.3346 0.0000
B2 0.3333 0.6667 0.1163
Os1 0.0000 0.0000 0.2500
Os2 0.3333 0.6667 0.7500
```